# 1
Calculated XRD peak list
Compound: LiCrN
Radiation: Cu Kα (λ = 1.5418 Å)
Structure: a cell relaxed with PBE
Neutral-atom scattering factors, no anomalous dispersion.

Principal peaks in the range 10 to 90 degrees two-theta, by intensity:
h k l, 2θ (°), I/Imax
1 0 1, 22.26, 100
1 1 1, 36.14, 44
2 1 0, 38.63, 40
2 1 2, 54.27, 36
0 1 1, 33.62, 25
3 0 1, 43.64, 24
1 1 2, 48.73, 19
4 0 0, 53.38, 16

```
data_LiCrN
_chemical_formula_sum 'Li4 Cr4 N4'
_space_group_name_H-M_alt 'P n m a'
_space_group_IT_number 62
_cell_length_a 6.866
_cell_length_b 3.175
_cell_length_c 4.910
_cell_angle_alpha 90.00
_cell_angle_beta 90.00
_cell_angle_gamma 90.00
loop_
_space_group_symop_operation_xyz
'x,y,z'
'-x,-y,-z'
'-x+1/2,-y,z+1/2'
'x+1/2,y,-z+1/2'
'x+1/2,-y+1/2,-z+1/2'
'-x+1/2,y+1/2,z+1/2'
'-x,y+1/2,-z'
'x,-y+1/2,z'
loop_
_atom_site_label
_atom_site_fract_x
_atom_site_fract_y
_atom_site_fract_z
Li1 0.098 0.250 0.068
Cr1 0.131 0.250 0.556
N1 0.139 0.750 0.309
```

---

# 2
Calculated XRD peak list
Compound: LiCrRh2
Radiation: Cu Kα (λ = 1.5418 Å)
Structure: a cell relaxed with PBE
Neutral-atom scattering factors, no anomalous dispersion.

Principal peaks in the range 10 to 90 degrees two-theta, by intensity:
h k l, 2θ (°), I/Imax
2 2 0, 43.42, 100
2 0 0, 30.33, 43
4 2 2, 79.70, 31
4 0 0, 63.09, 16
4 2 0, 71.60, 15
2 2 2, 53.88, 12
1 1 1, 26.19, 9
3 1 1, 51.42, 4

```
data_LiCrRh2
_chemical_formula_sum 'Li4 Cr4 Rh8'
_space_group_name_H-M_alt 'F m -3 m'
_space_group_IT_number 225
_space_group_name_Hall '-F 4 2 3'
_cell_length_a 5.894
_cell_length_b 5.894
_cell_length_c 5.894
_cell_angle_alpha 90.00
_cell_angle_beta 90.00
_cell_angle_gamma 90.00
loop_
_atom_site_label
_atom_site_fract_x
_atom_site_fract_y
_atom_site_fract_z
Li1 0.000 0.000 0.000
Cr1 0.000 0.000 0.500
Rh1 0.250 0.250 0.250
```